# PmPrY6Tm2
Calculated powder X-ray diffraction pattern, Cu Kα (weighted mean of Kα1 and Kα2). Input: a structure optimized by DFT (GGA-PBE).
No peak broadening, texture or thermal motion is included.

Atomic structure:
```
PmPrY6Tm2
1.0
4.631 -7.476 0.000
4.631 7.476 0.000
-1.197 0.000 9.517
Pm Pr Y Tm
2 2 12 4
Direct
0.031 0.969 0.750
0.969 0.031 0.250
0.408 0.592 0.250
0.592 0.408 0.750
0.018 0.565 0.680
0.114 0.756 0.057
0.244 0.886 0.443
0.296 0.515 0.885
0.435 0.982 0.820
0.485 0.704 0.615
0.515 0.296 0.385
0.565 0.018 0.180
0.704 0.485 0.115
0.756 0.114 0.557
0.886 0.244 0.943
0.982 0.435 0.320
0.196 0.296 0.550
0.296 0.196 0.050
0.704 0.804 0.950
0.804 0.704 0.450
```

Largest 10 diffraction maxima, in order of rising 2θ, 2θ = 10–90°:
- 11.84°, I 33
- 27.93°, I 36
- 28.50°, I 55
- 30.11°, I 61
- 30.61°, I 69
- 31.09°, I 89
- 31.50°, I 100
- 32.51°, I 46
- 33.27°, I 33
- 33.89°, I 44

=====

# PmPr2YTm2
Calculated powder X-ray diffraction pattern, Cu Kα (weighted mean of Kα1 and Kα2). Input: a structure optimized by DFT (GGA-PBE).
No peak broadening, texture or thermal motion is included.

Atomic structure:
```
PmPr2YTm2
1.0
7.089 0.000 0.000
0.000 5.697 0.000
0.000 0.000 9.851
Pm Pr Y Tm
2 4 2 4
Direct
0.250 0.000 0.159
0.750 0.000 0.841
0.000 0.000 0.500
0.250 0.500 0.676
0.500 0.000 0.500
0.750 0.500 0.324
0.000 0.500 0.000
0.500 0.500 0.000
0.250 0.000 0.832
0.250 0.500 0.335
0.750 0.000 0.168
0.750 0.500 0.665
```

Largest 10 diffraction maxima, in order of rising 2θ, 2θ = 10–90°:
- 25.12°, I 12
- 31.08°, I 84
- 31.43°, I 100
- 40.65°, I 21
- 44.78°, I 30
- 55.73°, I 32
- 55.96°, I 19
- 61.65°, I 29
- 65.60°, I 12
- 79.55°, I 14

=====

# Pm4PrY2Tm2
Calculated powder X-ray diffraction pattern, Cu Kα (weighted mean of Kα1 and Kα2). Input: a structure optimized by DFT (GGA-PBE).
No peak broadening, texture or thermal motion is included.

Atomic structure:
```
Pm4PrY2Tm2
1.0
8.672 -1.800 0.000
8.672 1.800 0.000
-1.759 0.000 9.591
Pm Pr Y Tm
4 1 2 2
Direct
0.014 0.014 0.328
0.325 0.325 0.763
0.675 0.675 0.237
0.986 0.986 0.672
0.500 0.500 0.000
0.342 0.342 0.411
0.658 0.658 0.589
0.166 0.166 0.918
0.834 0.834 0.082
```

Largest 10 diffraction maxima, in order of rising 2θ, 2θ = 10–90°:
- 29.95°, I 28
- 30.94°, I 27
- 31.47°, I 53
- 31.66°, I 100
- 31.81°, I 45
- 33.33°, I 38
- 36.48°, I 18
- 50.72°, I 15
- 53.54°, I 16
- 60.91°, I 19

=====

# Pm12Pr5Y
Calculated powder X-ray diffraction pattern, Cu Kα (weighted mean of Kα1 and Kα2). Input: a structure optimized by DFT (GGA-PBE).
No peak broadening, texture or thermal motion is included.

Atomic structure:
```
Pm12Pr5Y
1.0
6.009 -8.815 0.000
6.009 8.815 0.000
0.000 0.000 5.918
Pm Pr Y
12 5 1
Direct
0.026 0.667 0.507
0.167 0.525 0.994
0.202 0.202 0.038
0.301 0.301 0.536
0.333 0.974 0.493
0.475 0.833 0.006
0.525 0.167 0.994
0.667 0.026 0.507
0.699 0.699 0.464
0.798 0.798 0.962
0.833 0.475 0.006
0.974 0.333 0.493
0.000 0.000 0.500
0.138 0.862 0.000
0.364 0.636 0.500
0.636 0.364 0.500
0.862 0.138 0.000
0.500 0.500 0.000
```

Largest 10 diffraction maxima, in order of rising 2θ, 2θ = 10–90°:
- 25.05°, I 8
- 30.20°, I 32
- 30.42°, I 36
- 30.95°, I 100
- 31.47°, I 8
- 43.40°, I 16
- 54.12°, I 21
- 54.39°, I 9
- 60.80°, I 8
- 62.14°, I 8

=====

# PmPr6Y8
Calculated powder X-ray diffraction pattern, Cu Kα (weighted mean of Kα1 and Kα2). Input: a structure optimized by DFT (GGA-PBE).
No peak broadening, texture or thermal motion is included.

Atomic structure:
```
PmPr6Y8
1.0
4.593 2.652 7.071
-4.593 2.652 7.071
0.000 -5.304 7.071
Pm Pr Y
1 6 8
Direct
0.000 0.000 0.000
0.100 0.537 0.230
0.230 0.100 0.537
0.463 0.770 0.900
0.537 0.230 0.100
0.770 0.900 0.463
0.900 0.463 0.770
0.113 0.712 0.754
0.246 0.887 0.288
0.288 0.246 0.887
0.423 0.423 0.423
0.577 0.577 0.577
0.712 0.754 0.113
0.754 0.113 0.712
0.887 0.288 0.246
```

Largest 10 diffraction maxima, in order of rising 2θ, 2θ = 10–90°:
- 23.09°, I 9
- 30.02°, I 26
- 30.87°, I 100
- 31.59°, I 30
- 31.94°, I 12
- 34.28°, I 11
- 36.18°, I 14
- 51.90°, I 9
- 52.75°, I 13
- 54.42°, I 13

=====

# Pm2Pr3Y8
Calculated powder X-ray diffraction pattern, Cu Kα (weighted mean of Kα1 and Kα2). Input: a structure optimized by DFT (GGA-PBE).
No peak broadening, texture or thermal motion is included.

Atomic structure:
```
Pm2Pr3Y8
1.0
8.206 0.000 0.000
0.000 5.320 0.000
-2.808 0.000 10.293
Pm Pr Y
2 3 8
Direct
0.171 0.000 0.099
0.829 0.000 0.901
0.226 0.500 0.571
0.500 0.000 0.500
0.774 0.500 0.429
0.037 0.000 0.353
0.123 0.500 0.886
0.340 0.500 0.268
0.391 0.000 0.821
0.609 0.000 0.179
0.660 0.500 0.732
0.877 0.500 0.114
0.963 0.000 0.647
```

Largest 10 diffraction maxima, in order of rising 2θ, 2θ = 10–90°:
- 28.10°, I 19
- 30.56°, I 100
- 31.18°, I 91
- 33.69°, I 46
- 33.85°, I 31
- 39.57°, I 20
- 48.51°, I 23
- 52.93°, I 17
- 58.32°, I 16
- 58.96°, I 15